# 1
Simulated powder XRD pattern of FeCuOs2 for a wavelength of 1.5418 Å, from a PBE-relaxed structure.
Peak positions follow from Bragg's law for the DFT cell and can differ from measured ones.

Peak list (8 most intense, 5° ≤ 2θ ≤ 70°, by intensity)
Position (°2θ), d (Å), intensity, h k l
43.72, 2.070, 100, 1 1 2
20.08, 4.421, 43, 0 0 2
40.33, 2.236, 32, 0 2 0
40.82, 2.211, 30, 0 0 4
58.73, 1.572, 20, 0 2 4
38.42, 2.343, 17, 1 1 0
57.30, 1.608, 11, 1 1 4
45.45, 1.996, 11, 0 2 2

Cell lengths 2.751, 4.473, 8.843 Å; angles 90.00, 90.00, 90.00 degrees
Fractional coordinates of all 8 atoms:
Fe  0.000  0.000  0.000
Fe  0.500  0.500  0.000
Cu  0.000  0.000  0.500
Cu  0.500  0.500  0.500
Os  0.000  0.500  0.244
Os  0.000  0.500  0.756
Os  0.500  0.000  0.244
Os  0.500  0.000  0.756

---

# 2
Simulated powder XRD pattern of FeCuOsW for a wavelength of 1.5418 Å, from a PBE-relaxed structure.
Peak positions follow from Bragg's law for the DFT cell and can differ from measured ones.

Peak list (5 most intense, 5° ≤ 2θ ≤ 70°, by intensity)
Position (°2θ), d (Å), intensity, h k l
42.62, 2.121, 100, 2 2 0
25.72, 3.464, 29, 1 1 1
61.86, 1.500, 16, 4 0 0
50.45, 1.809, 15, 3 1 1
68.13, 1.376, 6, 3 3 1

Cell lengths 5.999, 5.999, 5.999 Å; angles 90.00, 90.00, 90.00 degrees
Fractional coordinates of all 16 atoms:
Fe  0.000  0.000  0.000
Fe  0.000  0.500  0.500
Fe  0.500  0.000  0.500
Fe  0.500  0.500  0.000
Cu  0.250  0.250  0.250
Cu  0.250  0.750  0.750
Cu  0.750  0.250  0.750
Cu  0.750  0.750  0.250
Os  0.000  0.000  0.500
Os  0.000  0.500  0.000
Os  0.500  0.000  0.000
Os  0.500  0.500  0.500
W  0.250  0.250  0.750
W  0.250  0.750  0.250
W  0.750  0.250  0.250
W  0.750  0.750  0.750